Structure and simulated XRD peak list of Li5Ca2Al5 (a DFT-relaxed cell (PBE, Alexandria); Cu Kα).
Kinematic intensities with the Lorentz-polarization factor, no thermal factor.

Crystal structure
abc: 4.4948 5.5683 9.5098
angles: 90.00 90.00 90.00
Positions (direct):
Li 0.0000 0.0000 0.0000
Li 0.5000 0.0000 0.1765
Li 0.5000 0.0000 0.8235
Li 0.5000 0.5000 0.3290
Li 0.5000 0.5000 0.6710
Ca 0.5000 0.0000 0.5000
Ca 0.5000 0.5000 0.0000
Al 0.0000 0.2497 0.2530
Al 0.0000 0.2497 0.7470
Al 0.0000 0.5000 0.5000
Al 0.0000 0.7503 0.2530
Al 0.0000 0.7503 0.7470

Principal peaks in the range 5 to 70 degrees two-theta, in order of falling intensity:
d (Å), 2theta, I (rel.)
3.283, 27.17, 100
3.266, 27.30, 95
2.403, 37.43, 80
2.349, 38.32, 61
2.367, 38.02, 55
1.641, 56.03, 46